This entry pairs a crystal structure of Pr2Sm2CI3Cl2 with its computed powder X-ray diffraction pattern. Radiation: Cu Kα X-rays. Structure: a DFT-relaxed cell (GGA-PBE, OQMD).

Cell and atoms:
Cell lengths 9.2540, 9.2540, 8.9683 Å; angles 102.17, 102.17, 25.23 degrees
Fractional positions:
1 Pr 0.0034 0.0034 0.3057
2 Pr 0.9966 0.9966 0.6943
3 Sm 0.3596 0.3596 0.4363
4 Sm 0.6404 0.6404 0.5637
5 C 0.5000 0.5000 0.5000
6 I 0.1756 0.1756 0.8327
7 I 0.5000 0.5000 0.0000
8 I 0.8244 0.8244 0.1673
9 Cl 0.1709 0.1709 0.3634
10 Cl 0.8291 0.8291 0.6366

Peak list (10 most intense, 10° ≤ 2θ ≤ 90°, low angle first)
| 2θ/deg | I (rel.) |
| --- | --- |
| 10.07 | 29 |
| 20.50 | 21 |
| 27.46 | 16 |
| 29.79 | 100 |
| 30.41 | 28 |
| 34.39 | 14 |
| 42.57 | 17 |
| 43.57 | 19 |
| 44.84 | 13 |
| 55.13 | 14 |